(1)
Structure and calculated X-ray diffraction stick pattern of SeO2F2 (a crystal structure in the Materials Project, relaxed with PBE; Cu Kα (weighted mean of Kα1 and Kα2)).

Atomic structure:
Cell lengths 5.832, 5.832, 11.811 Å; angles 90.00, 90.00, 90.00 degrees
Space group P4_12_12 (No. 92)
Unique sites:
Se1 0.093 0.093 0.000
O1 0.030 0.330 0.938
F1 0.030 0.872 0.905

Most intense lines, 5 to 70 degrees two-theta, by intensity:
two_theta	d [Å]	I (rel.)
21.41	4.150	100
21.55	4.124	30
16.96	5.229	26
22.84	3.893	21
41.53	2.174	20
31.61	2.831	16
27.33	3.263	14
65.86	1.418	10
34.34	2.611	10
31.41	2.848	9



(2)
Structure and calculated X-ray diffraction stick pattern of LiMg6W (a crystal structure in the Materials Project, relaxed with PBE; Cu Kα (weighted mean of Kα1 and Kα2)).

Atomic structure:
Cell lengths 4.849, 6.338, 10.439 Å; angles 90.00, 90.00, 90.00 degrees
Space group Amm2 (No. 38)
Unique sites:
Li1 0.000 0.000 0.000
Mg1 0.000 0.246 0.752
Mg2 0.500 0.000 0.167
Mg3 0.500 0.000 0.660
Mg4 0.500 0.239 0.427
W1 0.000 0.000 0.499

Most intense lines, 5 to 70 degrees two-theta, by intensity:
two_theta	d [Å]	I (rel.)
16.36	5.418	100
38.05	2.365	72
24.64	3.613	70
39.20	2.298	31
34.75	2.582	30
16.99	5.219	28
29.28	3.050	24
37.08	2.425	24
33.07	2.709	23
18.29	4.849	21



(3)
Structure and calculated X-ray diffraction stick pattern of Ba6LiNb2IrCl2O12 (a crystal structure in the Materials Project, relaxed with PBE; Cu Kα (weighted mean of Kα1 and Kα2)).

Atomic structure:
Cell lengths 5.9568, 5.9568, 15.5582 Å; angles 90.00, 90.00, 120.00 degrees
Space group P3m1 (No. 156)
Unique sites:
Ba1 0.0000 0.0000 0.0000
Ba2 0.0000 0.0000 0.2556
Ba3 0.0000 0.0000 0.5972
Ba4 0.6667 0.3333 0.1534
Ba5 0.6667 0.3333 0.4309
Ba6 0.6667 0.3333 0.7277
Li1 0.0000 0.0000 0.4276
Nb1 0.3333 0.6667 0.1824
Nb2 0.3333 0.6667 0.5479
Ir1 0.3333 0.6667 0.3653
Cl1 0.0000 0.0000 0.7933
Cl2 0.6667 0.3333 0.9452
O1 0.0110 0.5055 0.6097
O2 0.0282 0.5141 0.2775
O3 0.1691 0.3383 0.1223
O4 0.1753 0.3505 0.4528

Most intense lines, 5 to 70 degrees two-theta, by intensity:
two_theta	d [Å]	I (rel.)
5.68	15.558	100
30.00	2.978	64
28.74	3.107	29
24.34	3.657	26
18.12	4.897	25
42.01	2.151	24
39.00	2.309	18
62.35	1.489	14
53.27	1.720	13
33.64	2.664	12



(4)
Structure and calculated X-ray diffraction stick pattern of BaSrEu4O8 (a crystal structure in the Materials Project, relaxed with PBE; Cu Kα (weighted mean of Kα1 and Kα2)).

Atomic structure:
Cell lengths 3.587, 12.461, 10.526 Å; angles 90.00, 90.00, 90.00 degrees
Space group Pmc2_1 (No. 26)
Unique sites:
Ba1 0.000 0.100 0.000
Sr1 0.500 0.398 0.507
Eu1 0.000 0.142 0.331
Eu2 0.000 0.363 0.827
Eu3 0.500 0.143 0.674
Eu4 0.500 0.365 0.177
O1 0.000 0.035 0.740
O2 0.000 0.274 0.624
O3 0.000 0.333 0.334
O4 0.000 0.427 0.037
O5 0.500 0.082 0.466
O6 0.500 0.178 0.180
O7 0.500 0.235 0.870
O8 0.500 0.463 0.754

Most intense lines, 5 to 70 degrees two-theta, by intensity:
two_theta	d [Å]	I (rel.)
29.21	3.057	100
29.97	2.982	84
28.66	3.115	49
42.08	2.147	41
30.15	2.964	39
52.15	1.754	33
59.78	1.547	27
42.61	2.122	23
52.49	1.743	19
50.91	1.794	17